[1]
# Li3Mo2P3O12
Calculated X-ray powder pattern, Cu Kα X-rays. Input: DFT lattice parameters and positions (GGA+U).
No peak broadening, texture or thermal motion is included.

Atomic structure:
Cell lengths 8.737, 8.737, 8.761 Å; angles 117.19, 117.19, 61.34 degrees
Fractional coordinates of all 40 atoms:
Li 0.121 0.879 0.500
Li 0.192 0.450 0.464
Li 0.450 0.192 0.964
Li 0.511 0.757 0.918
Li 0.757 0.511 0.418
Li 0.879 0.121 0.000
Mo 0.177 0.668 0.849
Mo 0.457 0.966 0.572
Mo 0.668 0.177 0.349
Mo 0.966 0.457 0.072
P 0.062 0.292 0.663
P 0.292 0.062 0.163
P 0.342 0.572 0.257
P 0.572 0.342 0.757
P 0.766 0.868 0.960
P 0.868 0.766 0.460
O 0.062 0.747 0.607
O 0.064 0.342 0.855
O 0.093 0.200 0.118
O 0.117 0.430 0.649
O 0.200 0.093 0.618
O 0.204 0.517 0.272
O 0.293 0.568 0.065
O 0.300 0.873 0.018
O 0.334 0.761 0.402
O 0.342 0.064 0.355
O 0.430 0.117 0.149
O 0.434 0.540 0.802
O 0.517 0.204 0.772
O 0.540 0.434 0.302
O 0.568 0.293 0.565
O 0.573 0.885 0.812
O 0.715 0.797 0.524
O 0.747 0.062 0.107
O 0.761 0.334 0.902
O 0.797 0.715 0.024
O 0.837 0.919 0.397
O 0.873 0.300 0.518
O 0.885 0.573 0.312
O 0.919 0.837 0.897

Top 12 peaks for 2θ from 15° to 90°, low angle first:
two_theta, Rel. int.
19.5, 40
19.9, 32
20.3, 100
23.2, 21
23.3, 29
23.7, 21
28.0, 23
28.6, 41
32.1, 21
33.8, 17
34.6, 49
35.1, 17



[2]
# LiFeF5
Calculated X-ray powder pattern, Cu Kα X-rays. Input: DFT lattice parameters and positions (GGA+U).
No peak broadening, texture or thermal motion is included.

Atomic structure:
Cell lengths 4.947, 8.758, 9.263 Å; angles 90.00, 90.00, 90.00 degrees
Fractional coordinates of all 28 atoms:
Li 0.145 0.250 0.000
Li 0.145 0.250 0.500
Li 0.855 0.750 0.000
Li 0.855 0.750 0.500
Fe 0.342 0.581 0.250
Fe 0.342 0.919 0.750
Fe 0.658 0.081 0.250
Fe 0.658 0.419 0.750
F 0.107 0.745 0.250
F 0.107 0.755 0.750
F 0.174 0.027 0.614
F 0.174 0.027 0.886
F 0.174 0.473 0.114
F 0.174 0.473 0.386
F 0.423 0.149 0.116
F 0.423 0.149 0.384
F 0.423 0.351 0.616
F 0.423 0.351 0.884
F 0.577 0.649 0.116
F 0.577 0.649 0.384
F 0.577 0.851 0.616
F 0.577 0.851 0.884
F 0.826 0.527 0.614
F 0.826 0.527 0.886
F 0.826 0.973 0.114
F 0.826 0.973 0.386
F 0.893 0.245 0.250
F 0.893 0.255 0.750

Top 12 peaks for 2θ from 15° to 90°, low angle first:
two_theta, Rel. int.
17.9, 12
19.2, 43
22.5, 69
22.8, 100
28.3, 30
28.9, 43
44.4, 11
45.3, 11
48.1, 12
48.3, 34
52.3, 15
53.8, 11



[3]
# LiMn3B3O9
Calculated X-ray powder pattern, Cu Kα X-rays. Input: DFT lattice parameters and positions (GGA+U).
No peak broadening, texture or thermal motion is included.

Atomic structure:
Cell lengths 5.231, 6.194, 11.808 Å; angles 81.84, 77.62, 88.02 degrees
Fractional coordinates of all 32 atoms:
Li 0.000 0.000 0.000
Li 0.333 0.332 0.334
Mn 0.143 0.822 0.741
Mn 0.146 0.901 0.328
Mn 0.463 0.159 0.085
Mn 0.475 0.247 0.667
Mn 0.790 0.483 0.421
Mn 0.827 0.577 0.989
B 0.062 0.129 0.540
B 0.214 0.596 0.538
B 0.400 0.458 0.873
B 0.561 0.962 0.870
B 0.725 0.794 0.210
B 0.892 0.281 0.202
O 0.043 0.688 0.620
O 0.135 0.111 0.649
O 0.143 0.228 0.216
O 0.154 0.578 0.429
O 0.169 0.564 0.855
O 0.233 0.079 0.446
O 0.372 0.013 0.962
O 0.455 0.442 0.985
O 0.455 0.509 0.555
O 0.481 0.960 0.763
O 0.488 0.898 0.198
O 0.576 0.378 0.787
O 0.704 0.346 0.291
O 0.776 0.764 0.324
O 0.811 0.897 0.880
O 0.817 0.222 0.534
O 0.826 0.254 0.095
O 0.903 0.744 0.117

Top 12 peaks for 2θ from 15° to 90°, low angle first:
two_theta, Rel. int.
19.7, 100
20.5, 39
20.7, 32
22.0, 72
22.7, 92
34.0, 50
35.1, 86
36.8, 32
39.6, 27
40.2, 29
41.7, 30
51.6, 27